No. 1
Nb3S5O: theoretical powder diffractogram (Cu Kα X-rays), based on the PBE geometry in Alexandria.
Kinematic intensities with the Lorentz-polarization factor, no thermal factor.

Cell and atoms:
```
Nb3S5O
1.0
5.2713 -4.2515 0.0000
5.2713 4.2515 0.0000
-3.7741 0.0000 7.6332
Nb S O
6 10 2
Direct
0.0000 0.0000 0.0000
0.0000 0.0000 0.5000
0.2797 0.2797 0.3249
0.3201 0.3201 0.8000
0.6799 0.6799 0.2000
0.7203 0.7203 0.6751
0.0472 0.6203 0.3442
0.2381 0.2381 0.0319
0.2972 0.7028 0.0000
0.3797 0.9528 0.6558
0.4511 0.4511 0.6354
0.5489 0.5489 0.3646
0.6203 0.0472 0.3442
0.7028 0.2972 0.0000
0.7619 0.7619 0.9681
0.9528 0.3797 0.6558
0.0807 0.0807 0.2945
0.9193 0.9193 0.7055
```

Main lines, low angle first (10° ≤ 2θ ≤ 90°):
two_theta, I (rel.)
20.89, 100
22.54, 95
30.26, 34
30.75, 43
33.76, 26
42.53, 33
42.92, 28
43.29, 34
45.38, 32
55.20, 26

=====

No. 2
HfSc4Tl: theoretical powder diffractogram (Cu Kα X-rays), based on the PBE geometry in Alexandria.
Kinematic intensities with the Lorentz-polarization factor, no thermal factor.

Cell and atoms:
```
HfSc4Tl
1.0
5.1073 0.0000 0.0000
0.0000 1.6366 8.4714
0.0000 -1.6366 8.4714
Hf Sc Tl
1 4 1
Direct
0.0000 0.0000 0.0000
0.0000 0.3322 0.3322
0.0000 0.6595 0.6595
0.5000 0.1049 0.1049
0.5000 0.4443 0.4443
0.5000 0.7693 0.7693
```

Main lines, low angle first (10° ≤ 2θ ≤ 90°):
two_theta, I (rel.)
20.30, 49
20.97, 22
27.76, 13
31.61, 25
32.93, 14
35.14, 25
36.30, 100
47.98, 15
56.40, 15
63.81, 19

=====

No. 3
MgAs2Se4: theoretical powder diffractogram (Cu Kα X-rays), based on the PBE geometry in Alexandria.
Kinematic intensities with the Lorentz-polarization factor, no thermal factor.

Cell and atoms:
```
MgAs2Se4
1.0
7.2800 -1.9228 0.0000
7.2800 1.9228 0.0000
-2.9926 0.0000 6.0596
Mg As Se
1 2 4
Direct
0.0000 0.0000 0.0000
0.2537 0.2537 0.2725
0.7463 0.7463 0.7275
0.1315 0.1315 0.4625
0.3738 0.3738 0.0301
0.6262 0.6262 0.9699
0.8685 0.8685 0.5375
```

Main lines, low angle first (10° ≤ 2θ ≤ 90°):
two_theta, I (rel.)
13.57, 45
29.89, 100
30.07, 52
38.32, 45
38.80, 52
46.74, 44
47.27, 22
50.31, 26
57.05, 16
77.07, 16

=====

No. 4
SmDy4Tm4: theoretical powder diffractogram (Cu Kα X-rays), based on the PBE geometry in Alexandria.
Kinematic intensities with the Lorentz-polarization factor, no thermal factor.

Cell and atoms:
```
SmDy4Tm4
1.0
-5.2949 5.2949 2.4857
5.2949 -5.2949 2.4857
5.2949 5.2949 -2.4857
Sm Dy Tm
1 4 4
Direct
0.0000 0.0000 0.0000
0.0000 0.3330 0.3330
0.0000 0.6670 0.6670
0.3330 0.0000 0.3330
0.6670 0.0000 0.6670
0.3328 0.3328 0.6657
0.3328 0.6672 0.0000
0.6672 0.3328 0.0000
0.6672 0.6672 0.3343
```

Main lines, low angle first (10° ≤ 2θ ≤ 90°):
two_theta, I (rel.)
31.07, 100
35.98, 34
36.14, 17
51.80, 12
51.91, 24
61.64, 29
61.85, 14
64.78, 12
84.83, 12
87.40, 11